Diffraction record for SiB3C. The PXRD pattern is theoretical, not measured: it uses the PBE geometry in Alexandria and copper Kα.
Kinematic intensities with the Lorentz-polarization factor, no thermal factor.

Structural model:
a b c (Å): 2.9060 2.9774 5.0267
angles (deg): 78.14 89.54 70.01
Fractional positions:
Si 0.0000 0.0000 0.0000
B 0.1684 0.4056 0.4403
B 0.4551 0.7722 0.5716
B 0.6183 0.5818 0.2494
C 0.9860 0.5991 0.7379

Principal peaks in the range 10 to 80 degrees two-theta, by intensity:
- 32.85 deg, intensity 100.0, hkl 1 0 0
- 43.95 deg, intensity 93.0, hkl 0 1 2
- 38.88 deg, intensity 82.6, hkl 1 0 1
- 36.62 deg, intensity 81.4, hkl 1 0 -1
- 41.14 deg, intensity 78.0, hkl 0 1 -1
- 44.27 deg, intensity 69.0, hkl 1 1 -1
- 33.93 deg, intensity 60.0, hkl 0 1 1
- 64.81 deg, intensity 55.8, hkl 1 1 3
- 18.07 deg, intensity 52.4, hkl 0 0 1
- 39.78 deg, intensity 37.6, hkl 1 1 1